# 1
Mg3CuO4: simulated X-ray diffraction stick pattern (CuKα), based on the GGA-PBE geometry in the Materials Project.
No peak broadening, texture or thermal motion is included.

Principal peaks in the range 2θ = 15–90°, by angle:
2θ/deg, I_rel
20.9, 27
29.7, 24
36.6, 31
42.6, 100
47.9, 12
52.8, 9
61.8, 57
66.0, 5
74.0, 15
77.9, 17

Structural model:
```
Mg3CuO4
1.0
4.2489 0.0000 0.0000
0.0000 4.2489 0.0000
0.0000 0.0000 4.2489
Mg Cu O
3 1 4
Direct
0.0000 0.0000 0.5000
0.0000 0.5000 0.0000
0.5000 0.0000 0.0000
0.5000 0.5000 0.5000
0.0000 0.0000 0.0000
0.0000 0.5000 0.5000
0.5000 0.0000 0.5000
0.5000 0.5000 0.0000
```



# 2
CaRhO3: simulated X-ray diffraction stick pattern (CuKα), based on the GGA-PBE geometry in the Materials Project.
No peak broadening, texture or thermal motion is included.

Principal peaks in the range 2θ = 15–90°, by angle:
2θ/deg, I_rel
22.8, 44
23.0, 19
31.6, 25
32.6, 100
33.1, 23
46.5, 26
47.0, 15
57.0, 16
58.9, 25
68.3, 13

Structural model:
```
CaRhO3
1.0
5.6545 0.0000 0.0000
0.0000 7.7266 0.0000
0.0000 0.0000 5.4060
Ca Rh O
4 4 12
Direct
0.0646 0.2500 0.0180
0.4354 0.7500 0.5180
0.5646 0.2500 0.4820
0.9354 0.7500 0.9820
0.0000 0.0000 0.5000
0.0000 0.5000 0.5000
0.5000 0.0000 0.0000
0.5000 0.5000 0.0000
0.0370 0.7500 0.3927
0.1983 0.5549 0.8063
0.1983 0.9451 0.8063
0.3017 0.0549 0.3063
0.3017 0.4451 0.3063
0.4630 0.2500 0.8927
0.5370 0.7500 0.1073
0.6983 0.5549 0.6937
0.6983 0.9451 0.6937
0.8017 0.0549 0.1937
0.8017 0.4451 0.1937
0.9630 0.2500 0.6073
```



# 3
Cs3Bi2I9: simulated X-ray diffraction stick pattern (CuKα), based on the GGA-PBE geometry in the Materials Project.
No peak broadening, texture or thermal motion is included.

Principal peaks in the range 2θ = 15–90°, by angle:
2θ/deg, I_rel
24.4, 43
25.1, 87
26.8, 100
28.9, 100
31.4, 71
40.8, 31
41.8, 86
44.4, 46
49.0, 37
67.1, 37

Structural model:
```
Cs3Bi2I9
1.0
8.6451 0.0000 0.0000
-4.3225 7.4869 0.0000
0.0000 0.0000 21.9231
Cs Bi I
6 4 18
Direct
0.0000 0.0000 0.2500
0.0000 0.0000 0.7500
0.3333 0.6667 0.0794
0.3333 0.6667 0.4206
0.6667 0.3333 0.5794
0.6667 0.3333 0.9206
0.3333 0.6667 0.6557
0.3333 0.6667 0.8443
0.6667 0.3333 0.1557
0.6667 0.3333 0.3443
0.0023 0.5011 0.2500
0.1657 0.3315 0.5822
0.1657 0.3315 0.9178
0.1657 0.8343 0.5822
0.1657 0.8343 0.9178
0.3315 0.1657 0.0822
0.3315 0.1657 0.4178
0.4989 0.5011 0.2500
0.4989 0.9977 0.2500
0.5011 0.0023 0.7500
0.5011 0.4989 0.7500
0.6685 0.8343 0.5822
0.6685 0.8343 0.9178
0.8343 0.1657 0.0822
0.8343 0.1657 0.4178
0.8343 0.6685 0.0822
0.8343 0.6685 0.4178
0.9977 0.4989 0.7500
```



# 4
CuSi2P3: simulated X-ray diffraction stick pattern (CuKα), based on the GGA-PBE geometry in the Materials Project.
No peak broadening, texture or thermal motion is included.

Principal peaks in the range 2θ = 15–90°, by angle:
2θ/deg, I_rel
17.8, 51
25.2, 29
26.8, 46
29.0, 76
31.0, 100
35.4, 30
46.4, 24
50.5, 65
51.7, 17
56.9, 32

Structural model:
```
CuSi2P3
1.0
3.5372 0.0000 0.0000
0.0000 3.9112 0.0000
0.0000 0.0000 9.9818
Cu Si P
1 2 3
Direct
0.0000 0.0000 0.0000
0.0000 0.0000 0.5067
0.5000 0.5000 0.7776
0.0000 0.5000 0.3850
0.0000 0.5000 0.9158
0.5000 0.0000 0.6549
```



# 5
BaF2: simulated X-ray diffraction stick pattern (CuKα), based on the GGA-PBE geometry in the Materials Project.
No peak broadening, texture or thermal motion is included.

Principal peaks in the range 2θ = 15–90°, by angle:
2θ/deg, I_rel
24.5, 100
28.4, 25
40.6, 65
48.0, 48
50.3, 7
58.8, 10
64.7, 20
66.6, 11
73.9, 20
79.2, 15

Structural model:
```
BaF2
1.0
0.0000 3.1415 3.1415
3.1415 0.0000 3.1415
3.1415 3.1415 0.0000
Ba F
1 2
Direct
0.0000 0.0000 0.0000
0.2500 0.2500 0.2500
0.7500 0.7500 0.7500
```